Simulated X-ray powder pattern
Compound: K2Cu3As4O12
Radiation: Cu Kα (weighted mean of Kα1 and Kα2)
Structure: a crystal structure in the Materials Project, relaxed with PBE

Principal peaks in the range 2θ = 10–80°, by angle:
d 3.616, 2θ = 24.62°, I 100, hkl 2 0 -3
d 2.906, 2θ = 30.77°, I 68, hkl 3 1 -2
d 2.724, 2θ = 32.88°, I 61, hkl 0 2 0
d 2.669, 2θ = 33.58°, I 60, hkl 3 1 -3
d 2.659, 2θ = 33.71°, I 69, hkl 1 1 3
d 2.540, 2θ = 35.33°, I 59, hkl 3 1 1

Structure:
```
data_K2Cu3As4O12
_chemical_formula_sum 'K4 Cu6 As8 O24'
_space_group_name_H-M_alt 'C 1 2/m 1'
_space_group_IT_number 12
_space_group_name_Hall '-C 2y'
_cell_length_a 10.6422
_cell_length_b 5.4486
_cell_length_c 11.6498
_cell_angle_alpha 90.00
_cell_angle_beta 111.69
_cell_angle_gamma 90.00
loop_
_atom_site_label
_atom_site_fract_x
_atom_site_fract_y
_atom_site_fract_z
K1 0.1383 0.0000 0.4243
Cu1 0.0000 0.5000 0.0000
Cu2 0.2364 0.5000 0.2405
As1 0.0828 0.5000 0.6931
As2 0.1716 0.0000 0.0449
O1 0.0878 0.5000 0.3574
O2 0.1222 0.2602 0.1157
O3 0.1451 0.5000 0.8589
O4 0.1466 0.2440 0.6470
```

***

Simulated X-ray powder pattern
Compound: BiSbSe3
Radiation: Cu Kα (weighted mean of Kα1 and Kα2)
Structure: a crystal structure in the Materials Project, relaxed with PBE

Principal peaks in the range 2θ = 10–80°, by angle:
d 6.209, 2θ = 14.26°, I 53, hkl 2 0 0
d 3.242, 2θ = 27.51°, I 100, hkl 1 1 2
d 2.954, 2θ = 30.25°, I 66, hkl 2 1 2
d 2.608, 2θ = 34.38°, I 53, hkl 3 1 2
d 2.424, 2θ = 37.09°, I 47, hkl 4 1 1
d 2.058, 2θ = 43.99°, I 78, hkl 0 2 0

Structure:
```
data_BiSbSe3
_chemical_formula_sum 'Bi4 Sb4 Se12'
_space_group_name_H-M_alt 'P n m a'
_space_group_IT_number 62
_space_group_name_Hall '-P 2ac 2n'
_cell_length_a 12.4179
_cell_length_b 4.1137
_cell_length_c 11.6356
_cell_angle_alpha 90.00
_cell_angle_beta 90.00
_cell_angle_gamma 90.00
loop_
_atom_site_label
_atom_site_fract_x
_atom_site_fract_y
_atom_site_fract_z
Bi1 0.0160 0.2500 0.1683
Sb1 0.1451 0.7500 0.4582
Se1 0.0505 0.2500 0.6309
Se2 0.1267 0.7500 0.0522
Se3 0.2079 0.2500 0.3088
```

***

Simulated X-ray powder pattern
Compound: TlSn
Radiation: Cu Kα (weighted mean of Kα1 and Kα2)
Structure: a crystal structure in the Materials Project, relaxed with PBE

Principal peaks in the range 2θ = 10–80°, by angle:
d 2.829, 2θ = 31.63°, I 100, hkl 1 0 1
d 2.645, 2θ = 33.89°, I 21, hkl 0 0 2
d 2.367, 2θ = 38.01°, I 31, hkl 1 1 0
d 1.764, 2θ = 51.83°, I 26, hkl 1 1 2
d 1.560, 2θ = 59.22°, I 17, hkl 1 0 3
d 1.441, 2θ = 64.70°, I 27, hkl 2 1 1

Structure:
```
data_TlSn
_chemical_formula_sum 'Tl1 Sn1'
_space_group_name_H-M_alt 'P 4/m m m'
_space_group_IT_number 123
_space_group_name_Hall '-P 4 2'
_cell_length_a 3.3479
_cell_length_b 3.3479
_cell_length_c 5.2908
_cell_angle_alpha 90.00
_cell_angle_beta 90.00
_cell_angle_gamma 90.00
loop_
_atom_site_label
_atom_site_fract_x
_atom_site_fract_y
_atom_site_fract_z
Tl1 0.0000 0.0000 0.0000
Sn1 0.5000 0.5000 0.5000
```

***

Simulated X-ray powder pattern
Compound: NaMnTe2
Radiation: Cu Kα (weighted mean of Kα1 and Kα2)
Structure: a crystal structure in the Materials Project, relaxed with PBE

Principal peaks in the range 2θ = 10–80°, by angle:
d 3.956, 2θ = 22.47°, I 24, hkl 0 0 2
d 3.721, 2θ = 23.92°, I 29, hkl 1 0 0
d 3.367, 2θ = 26.47°, I 100, hkl 1 0 1
d 2.710, 2θ = 33.05°, I 25, hkl 0 1 2
d 2.150, 2θ = 42.02°, I 82, hkl 1 1 0
d 1.241, 2θ = 76.83°, I 20, hkl 3 0 0

Structure:
```
data_NaMnTe2
_chemical_formula_sum 'Na1 Mn1 Te2'
_space_group_name_H-M_alt 'P 3 m 1'
_space_group_IT_number 156
_space_group_name_Hall 'P 3 -2"'
_cell_length_a 4.2962
_cell_length_b 4.2962
_cell_length_c 7.9125
_cell_angle_alpha 90.00
_cell_angle_beta 90.00
_cell_angle_gamma 120.00
loop_
_atom_site_label
_atom_site_fract_x
_atom_site_fract_y
_atom_site_fract_z
Na1 0.0000 0.0000 0.0000
Mn1 0.3333 0.6667 0.4287
Te1 0.3333 0.6667 0.7487
Te2 0.6667 0.3333 0.2852
```